Diffraction record for CuRhWO6. The powder XRD pattern is computed, not measured: it uses DFT lattice parameters and positions (GGA+U) and CuKα.
Kinematic intensities with the Lorentz-polarization factor, no thermal factor.

Crystal structure
a = 4.6685 Å, b = 4.6685 Å, c = 9.2010 Å
α = 90.00°, β = 90.00°, γ = 90.00°
Fractional positions:
1 Cu 0.0000 0.0000 0.0000
2 Cu 0.5000 0.5000 0.5000
3 Rh 0.0000 0.0000 0.6676
4 Rh 0.5000 0.5000 0.1676
5 W 0.0000 0.0000 0.3326
6 W 0.5000 0.5000 0.8326
7 O 0.1926 0.1926 0.4943
8 O 0.2006 0.2006 0.1782
9 O 0.2021 0.2021 0.8305
10 O 0.2979 0.7021 0.3305
11 O 0.2994 0.7006 0.6782
12 O 0.3074 0.6926 0.9943
13 O 0.6926 0.3074 0.9943
14 O 0.7006 0.2994 0.6782
15 O 0.7021 0.2979 0.3305
16 O 0.7979 0.7979 0.8305
17 O 0.7994 0.7994 0.1782
18 O 0.8074 0.8074 0.4943

Top 12 peaks for 10° ≤ 2θ ≤ 90°, low angle first:
two_theta	I (rel.)	h k l
21.34	26	1 0 1
27.01	100	1 1 0
35.01	79	1 0 3
38.57	22	2 0 0
53.06	65	2 1 3
55.69	16	2 2 0
62.96	15	3 1 0
67.33	14	1 1 6
67.49	19	3 0 3
73.95	9	2 0 6
80.52	13	3 2 3
86.66	10	2 2 6